Entry 1:
For TlHPdRh2, a structure optimized by DFT (GGA-PBE) gives the theoretical powder X-ray diffraction pattern in this record (Cu Kα (weighted mean of Kα1 and Kα2)).

Peak list (8 most intense, 15 to 90 degrees two-theta, in order of rising 2θ)
2θ (°)	I_rel
38.29	100.0
44.31	33.4
44.89	16.1
64.46	10.8
64.91	21.2
77.53	25.3
78.35	12.3
81.98	11.0

Cell and atoms:
```
TlHPdRh2
1.0
4.0884 0.0000 0.0000
0.0000 4.0884 0.0000
0.0000 0.0000 4.0385
Tl H Pd Rh
1 1 1 2
Direct
0.0000 0.0000 0.0000
0.5000 0.5000 0.5000
0.5000 0.5000 0.0000
0.0000 0.5000 0.5000
0.5000 0.0000 0.5000
```

=====

Entry 2:
For Tb16Nd6Ho7, a structure optimized by DFT (GGA-PBE) gives the theoretical powder X-ray diffraction pattern in this record (Cu Kα (weighted mean of Kα1 and Kα2)).

Peak list (8 most intense, 15 to 90 degrees two-theta, in order of rising 2θ)
2θ (°)	I_rel
27.61	6.4
29.32	13.1
31.99	100.0
43.94	6.7
45.87	13.6
57.01	25.0
66.88	6.8
76.06	6.4

Cell and atoms:
```
Tb16Nd6Ho7
1.0
0.0000 7.9138 7.9138
7.9138 0.0000 7.9138
7.9138 7.9138 0.0000
Tb Nd Ho
16 6 7
Direct
0.0455 0.6515 0.6515
0.1256 0.1256 0.1256
0.1256 0.1256 0.6233
0.1256 0.6233 0.1256
0.3485 0.3485 0.3485
0.3485 0.3485 0.9545
0.3485 0.9545 0.3485
0.3767 0.8744 0.8744
0.6233 0.1256 0.1256
0.6515 0.0455 0.6515
0.6515 0.6515 0.0455
0.6515 0.6515 0.6515
0.8744 0.3767 0.8744
0.8744 0.8744 0.3767
0.8744 0.8744 0.8744
0.9545 0.3485 0.3485
0.2741 0.2741 0.7259
0.2741 0.7259 0.2741
0.2741 0.7259 0.7259
0.7259 0.2741 0.2741
0.7259 0.2741 0.7259
0.7259 0.7259 0.2741
0.0000 0.0000 0.0000
0.0000 0.0000 0.5000
0.0000 0.5000 0.0000
0.0000 0.5000 0.5000
0.5000 0.0000 0.0000
0.5000 0.0000 0.5000
0.5000 0.5000 0.0000
```

=====

Entry 3:
For Al3BiAu10, a structure optimized by DFT (GGA-PBE) gives the theoretical powder X-ray diffraction pattern in this record (Cu Kα (weighted mean of Kα1 and Kα2)).

Peak list (8 most intense, 15 to 90 degrees two-theta, in order of rising 2θ)
2θ (°)	I_rel
31.65	41.3
33.53	50.9
34.02	38.1
34.67	68.8
37.02	39.9
37.69	55.4
42.46	51.1
42.67	100.0

Cell and atoms:
```
Al3BiAu10
1.0
8.2943 -4.6070 0.0000
8.2943 4.6070 0.0000
-4.0895 0.0000 7.1653
Al Bi Au
6 2 20
Direct
0.2457 0.2457 0.2452
0.2476 0.7522 0.1893
0.2478 0.7524 0.8107
0.7522 0.2476 0.1893
0.7524 0.2478 0.8107
0.7543 0.7543 0.7548
0.2489 0.2489 0.7472
0.7511 0.7511 0.2528
0.0900 0.6292 0.8597
0.1050 0.1050 0.3406
0.1053 0.1053 0.8695
0.1428 0.5279 0.1663
0.1453 0.5261 0.5064
0.1566 0.8434 0.5000
0.3708 0.9100 0.1403
0.4721 0.8572 0.8337
0.4739 0.8547 0.4936
0.4991 0.4991 0.3260
0.5009 0.5009 0.6740
0.5261 0.1453 0.5064
0.5279 0.1428 0.1663
0.6292 0.0900 0.8597
0.8434 0.1566 0.5000
0.8547 0.4739 0.4936
0.8572 0.4721 0.8337
0.8947 0.8947 0.1305
0.8950 0.8950 0.6594
0.9100 0.3708 0.1403
```

=====

Entry 4:
For LaTbDy4S8, a structure optimized by DFT (GGA-PBE) gives the theoretical powder X-ray diffraction pattern in this record (Cu Kα (weighted mean of Kα1 and Kα2)).

Peak list (8 most intense, 15 to 90 degrees two-theta, in order of rising 2θ)
2θ (°)	I_rel
21.87	25.0
25.71	100.0
26.87	14.8
31.12	20.5
40.79	44.6
44.59	58.0
52.18	14.7
62.00	15.7

Cell and atoms:
```
LaTbDy4S8
1.0
4.0615 2.3449 6.6442
-4.0615 2.3449 6.6442
0.0000 -4.6898 6.6442
La Tb Dy S
1 1 4 8
Direct
0.0000 0.0000 0.0000
0.6244 0.6244 0.6244
0.1283 0.6244 0.6244
0.2505 0.2505 0.2505
0.6244 0.1283 0.6244
0.6244 0.6244 0.1283
0.3813 0.3813 0.8554
0.3813 0.8554 0.3813
0.3823 0.3823 0.3823
0.4123 0.8638 0.8638
0.8554 0.3813 0.3813
0.8626 0.8626 0.8626
0.8638 0.4123 0.8638
0.8638 0.8638 0.4123
```

=====

Entry 5:
For Cs3BO3, a structure optimized by DFT (GGA-PBE) gives the theoretical powder X-ray diffraction pattern in this record (Cu Kα (weighted mean of Kα1 and Kα2)).

Peak list (8 most intense, 15 to 90 degrees two-theta, in order of rising 2θ)
2θ (°)	I_rel
22.45	26.2
26.52	19.8
27.58	37.7
28.10	100.0
31.88	18.6
32.03	18.1
35.02	27.2
50.05	24.7

Cell and atoms:
```
Cs3BO3
1.0
11.1767 0.0000 0.0000
0.0000 11.2283 0.0000
0.0000 0.0000 10.6276
Cs B O
24 8 24
Direct
0.0000 0.0000 0.1840
0.0000 0.0000 0.8160
0.0000 0.5000 0.3165
0.0000 0.5000 0.6835
0.0241 0.1668 0.5000
0.1667 0.4804 0.0000
0.2459 0.7566 0.2504
0.2459 0.7566 0.7496
0.2541 0.2566 0.2504
0.2541 0.2566 0.7496
0.3333 0.9804 0.0000
0.4759 0.6668 0.5000
0.5000 0.0000 0.3165
0.5000 0.0000 0.6835
0.5000 0.5000 0.1840
0.5000 0.5000 0.8160
0.5241 0.3332 0.5000
0.6667 0.0196 0.0000
0.7459 0.7434 0.2504
0.7459 0.7434 0.7496
0.7541 0.2434 0.2504
0.7541 0.2434 0.7496
0.8333 0.5196 0.0000
0.9759 0.8332 0.5000
0.0362 0.7439 0.0000
0.2439 0.9642 0.5000
0.2561 0.4642 0.5000
0.4638 0.2439 0.0000
0.5362 0.7561 0.0000
0.7439 0.5358 0.5000
0.7561 0.0358 0.5000
0.9638 0.2561 0.0000
0.0038 0.3040 0.1154
0.0038 0.3040 0.8846
0.1196 0.8374 0.0000
0.1639 0.3794 0.5000
0.1968 0.0048 0.3845
0.1968 0.0048 0.6155
0.3032 0.5048 0.3845
0.3032 0.5048 0.6155
0.3361 0.8794 0.5000
0.3804 0.3374 0.0000
0.4962 0.8040 0.1154
0.4962 0.8040 0.8846
0.5038 0.1960 0.1154
0.5038 0.1960 0.8846
0.6196 0.6626 0.0000
0.6639 0.1206 0.5000
0.6968 0.4952 0.3845
0.6968 0.4952 0.6155
0.8032 0.9952 0.3845
0.8032 0.9952 0.6155
0.8361 0.6206 0.5000
0.8804 0.1626 0.0000
0.9962 0.6960 0.1154
0.9962 0.6960 0.8846
```

=====

Entry 6:
For Na5B7C3, a structure optimized by DFT (GGA-PBE) gives the theoretical powder X-ray diffraction pattern in this record (Cu Kα (weighted mean of Kα1 and Kα2)).

Peak list (8 most intense, 15 to 90 degrees two-theta, in order of rising 2θ)
2θ (°)	I_rel
34.79	12.3
36.40	16.7
40.79	48.4
41.98	38.6
42.21	100.0
63.42	16.4
76.86	13.0
79.00	15.8

Cell and atoms:
```
Na5B7C3
1.0
1.4054 -12.8943 0.0000
1.4054 12.8943 0.0000
0.0000 0.0000 8.6079
Na B C
10 14 6
Direct
0.0000 0.0000 0.0000
0.0000 0.0000 0.5000
0.1989 0.8011 0.5025
0.1989 0.8011 0.9975
0.4014 0.5986 0.0011
0.4014 0.5986 0.4989
0.5986 0.4014 0.5011
0.5986 0.4014 0.9989
0.8011 0.1989 0.0025
0.8011 0.1989 0.4975
0.0585 0.9415 0.7500
0.1263 0.8737 0.7500
0.1297 0.8703 0.2500
0.2654 0.7346 0.2500
0.2783 0.7217 0.7500
0.3304 0.6696 0.2500
0.4640 0.5360 0.7500
0.5360 0.4640 0.2500
0.6696 0.3304 0.7500
0.7217 0.2783 0.2500
0.7346 0.2654 0.7500
0.8703 0.1297 0.7500
0.8737 0.1263 0.2500
0.9415 0.0585 0.2500
0.0673 0.9327 0.2500
0.3383 0.6617 0.7500
0.4729 0.5271 0.2500
0.5271 0.4729 0.7500
0.6617 0.3383 0.2500
0.9327 0.0673 0.7500
```

=====

Entry 7:
For BaScPtO4, a structure optimized by DFT (GGA-PBE) gives the theoretical powder X-ray diffraction pattern in this record (Cu Kα (weighted mean of Kα1 and Kα2)).

Peak list (8 most intense, 15 to 90 degrees two-theta, in order of rising 2θ)
2θ (°)	I_rel
16.12	35.9
16.93	34.8
25.74	41.2
27.61	37.2
29.07	59.5
31.67	100.0
32.06	37.0
52.90	48.1

Cell and atoms:
```
BaScPtO4
1.0
-3.2311 3.2929 5.2379
3.2311 -3.2929 5.2379
3.2311 3.2929 -5.2379
Ba Sc Pt O
2 2 2 8
Direct
0.3656 0.1156 0.2500
0.6344 0.8844 0.7500
0.0000 0.0000 0.5000
0.0000 0.5000 0.0000
0.0000 0.5000 0.5000
0.5000 0.5000 0.0000
0.1993 0.7451 0.4543
0.2092 0.2549 0.9543
0.2128 0.2686 0.5558
0.2128 0.6570 0.9442
0.7872 0.3430 0.0558
0.7872 0.7314 0.4442
0.7908 0.7451 0.0457
0.8007 0.2549 0.5457
```

=====

Entry 8:
For Pm6In2Ru, a structure optimized by DFT (GGA-PBE) gives the theoretical powder X-ray diffraction pattern in this record (Cu Kα (weighted mean of Kα1 and Kα2)).

Peak list (8 most intense, 15 to 90 degrees two-theta, in order of rising 2θ)
2θ (°)	I_rel
30.52	100.0
30.92	68.8
32.74	70.8
35.18	42.0
38.72	38.7
46.43	19.4
56.83	24.5
57.54	33.7

Cell and atoms:
```
Pm6In2Ru
1.0
3.9113 0.0000 0.0000
0.0000 7.6456 4.4227
0.0000 -7.6456 4.4227
Pm In Ru
6 2 1
Direct
0.0000 0.0000 0.0000
0.0000 0.5176 0.7567
0.0000 0.7567 0.5176
0.5000 0.1514 0.7575
0.5000 0.3625 0.3625
0.5000 0.7575 0.1514
0.0000 0.0903 0.4246
0.0000 0.4246 0.0903
0.5000 0.7614 0.7614
```